1.
Theoretical X-ray powder pattern
Compound: HfZrO4
Radiation: Cu Kα, 1.54184 Å
Structure: DFT lattice parameters and positions (PBE)
Peak positions follow from Bragg's law for the DFT cell and can differ from measured ones.

Main lines, sorted by position (2θ from 10° to 80°):
| 2θ/deg | Rel. int. |
| --- | --- |
| 19.34 | 13 |
| 30.07 | 100 |
| 31.06 | 4 |
| 34.31 | 11 |
| 35.13 | 19 |
| 40.41 | 4 |
| 49.92 | 34 |
| 50.53 | 17 |
| 58.84 | 15 |
| 59.93 | 30 |
| 62.51 | 9 |
| 74.26 | 5 |

Structural model:
Cell lengths 6.354, 6.354, 6.354 Å; angles 132.60, 132.60, 69.29 degrees
Sites, in units of the cell vectors:
Hf 0.375 0.125 0.250
Hf 0.625 0.875 0.750
Zr 0.125 0.375 0.750
Zr 0.875 0.625 0.250
O 0.037 0.774 0.762
O 0.225 0.463 0.237
O 0.274 0.012 0.737
O 0.488 0.725 0.262
O 0.512 0.275 0.738
O 0.726 0.988 0.263
O 0.775 0.537 0.763
O 0.963 0.226 0.238

***

2.
Theoretical X-ray powder pattern
Compound: Hf2Os
Radiation: Cu Kα, 1.54184 Å
Structure: DFT lattice parameters and positions (PBE)
Peak positions follow from Bragg's law for the DFT cell and can differ from measured ones.

Main lines, sorted by position (2θ from 10° to 80°):
| 2θ/deg | Rel. int. |
| --- | --- |
| 12.41 | 6 |
| 31.57 | 8 |
| 35.60 | 29 |
| 37.84 | 100 |
| 41.34 | 31 |
| 43.97 | 8 |
| 57.28 | 8 |
| 63.94 | 32 |
| 65.42 | 10 |
| 69.77 | 7 |
| 76.76 | 18 |
| 79.04 | 5 |

Structural model:
Cell lengths 8.736, 8.736, 8.736 Å; angles 60.00, 60.00, 60.00 degrees
Sites, in units of the cell vectors:
Hf 0.000 0.000 0.000
Hf 0.000 0.000 0.500
Hf 0.000 0.500 0.000
Hf 0.186 0.186 0.564
Hf 0.186 0.564 0.186
Hf 0.186 0.564 0.564
Hf 0.436 0.436 0.814
Hf 0.436 0.814 0.436
Hf 0.436 0.814 0.814
Hf 0.500 0.000 0.000
Hf 0.564 0.186 0.186
Hf 0.564 0.186 0.564
Hf 0.564 0.564 0.186
Hf 0.814 0.436 0.436
Hf 0.814 0.436 0.814
Hf 0.814 0.814 0.436
Os 0.144 0.785 0.785
Os 0.215 0.215 0.215
Os 0.215 0.215 0.856
Os 0.215 0.856 0.215
Os 0.785 0.144 0.785
Os 0.785 0.785 0.144
Os 0.785 0.785 0.785
Os 0.856 0.215 0.215

***

3.
Theoretical X-ray powder pattern
Compound: HfOs2
Radiation: Cu Kα, 1.54184 Å
Structure: DFT lattice parameters and positions (PBE)
Peak positions follow from Bragg's law for the DFT cell and can differ from measured ones.

Main lines, sorted by position (2θ from 10° to 80°):
| 2θ/deg | Rel. int. |
| --- | --- |
| 34.39 | 27 |
| 37.27 | 74 |
| 40.51 | 100 |
| 41.34 | 94 |
| 42.23 | 20 |
| 45.40 | 24 |
| 46.98 | 13 |
| 63.50 | 26 |
| 65.74 | 25 |
| 68.81 | 32 |
| 72.49 | 29 |
| 79.45 | 14 |

Structural model:
Cell lengths 5.216, 5.216, 8.560 Å; angles 90.00, 90.00, 120.00 degrees
Sites, in units of the cell vectors:
Hf 0.333 0.667 0.066
Hf 0.333 0.667 0.434
Hf 0.667 0.333 0.566
Hf 0.667 0.333 0.934
Os 0.000 0.000 0.000
Os 0.000 0.000 0.500
Os 0.173 0.346 0.750
Os 0.173 0.827 0.750
Os 0.346 0.173 0.250
Os 0.654 0.827 0.750
Os 0.827 0.173 0.250
Os 0.827 0.654 0.250

***

4.
Theoretical X-ray powder pattern
Compound: HfOs
Radiation: Cu Kα, 1.54184 Å
Structure: DFT lattice parameters and positions (PBE)
Peak positions follow from Bragg's law for the DFT cell and can differ from measured ones.

Main lines, sorted by position (2θ from 10° to 80°):
| 2θ/deg | Rel. int. |
| --- | --- |
| 39.09 | 100 |
| 56.47 | 17 |
| 70.82 | 35 |

Structural model:
Cell lengths 3.259, 3.259, 3.259 Å; angles 90.00, 90.00, 90.00 degrees
Sites, in units of the cell vectors:
Hf 0.000 0.000 0.000
Os 0.500 0.500 0.500

***

5.
Theoretical X-ray powder pattern
Compound: HfPOs
Radiation: Cu Kα, 1.54184 Å
Structure: DFT lattice parameters and positions (PBE)
Peak positions follow from Bragg's law for the DFT cell and can differ from measured ones.

Main lines, sorted by position (2θ from 10° to 80°):
| 2θ/deg | Rel. int. |
| --- | --- |
| 27.76 | 19 |
| 28.21 | 26 |
| 36.44 | 100 |
| 39.99 | 56 |
| 43.00 | 57 |
| 47.27 | 23 |
| 49.11 | 9 |
| 49.38 | 9 |
| 59.92 | 8 |
| 65.12 | 24 |
| 65.80 | 33 |
| 79.02 | 19 |

Structural model:
Cell lengths 6.426, 6.426, 3.846 Å; angles 90.00, 90.00, 120.00 degrees
Sites, in units of the cell vectors:
Hf 0.000 0.584 0.000
Hf 0.416 0.416 0.000
Hf 0.584 0.000 0.000
P 0.000 0.000 0.000
P 0.333 0.667 0.500
P 0.667 0.333 0.500
Os 0.000 0.248 0.500
Os 0.248 0.000 0.500
Os 0.752 0.752 0.500

***

6.
Theoretical X-ray powder pattern
Compound: Hf2ReOs
Radiation: Cu Kα, 1.54184 Å
Structure: DFT lattice parameters and positions (PBE)
Peak positions follow from Bragg's law for the DFT cell and can differ from measured ones.

Main lines, sorted by position (2θ from 10° to 80°):
| 2θ/deg | Rel. int. |
| --- | --- |
| 39.03 | 100 |
| 56.38 | 17 |
| 70.70 | 35 |

Structural model:
Cell lengths 4.616, 4.616, 4.616 Å; angles 60.00, 60.00, 60.00 degrees
Sites, in units of the cell vectors:
Hf 0.250 0.250 0.250
Hf 0.750 0.750 0.750
Re 0.000 0.000 0.000
Os 0.500 0.500 0.500

***

7.
Theoretical X-ray powder pattern
Compound: HfZrOs2
Radiation: Cu Kα, 1.54184 Å
Structure: DFT lattice parameters and positions (PBE)
Peak positions follow from Bragg's law for the DFT cell and can differ from measured ones.

Main lines, sorted by position (2θ from 10° to 80°):
| 2θ/deg | Rel. int. |
| --- | --- |
| 23.52 | 4 |
| 27.22 | 3 |
| 38.87 | 100 |
| 45.93 | 2 |
| 48.10 | 1 |
| 56.15 | 17 |
| 61.70 | 1 |
| 63.49 | 1 |
| 70.39 | 35 |
| 75.37 | 1 |

Structural model:
Cell lengths 4.633, 4.633, 4.633 Å; angles 60.00, 60.00, 60.00 degrees
Sites, in units of the cell vectors:
Hf 0.000 0.000 0.000
Zr 0.500 0.500 0.500
Os 0.250 0.250 0.250
Os 0.750 0.750 0.750

***

8.
Theoretical X-ray powder pattern
Compound: HfP3
Radiation: Cu Kα, 1.54184 Å
Structure: DFT lattice parameters and positions (PBE)
Peak positions follow from Bragg's law for the DFT cell and can differ from measured ones.

Main lines, sorted by position (2θ from 10° to 80°):
| 2θ/deg | Rel. int. |
| --- | --- |
| 18.38 | 63 |
| 25.83 | 92 |
| 32.11 | 47 |
| 36.47 | 35 |
| 37.25 | 23 |
| 41.13 | 16 |
| 41.66 | 100 |
| 49.37 | 29 |
| 53.11 | 16 |
| 53.55 | 42 |
| 69.18 | 22 |
| 78.92 | 18 |

Structural model:
Cell lengths 5.575, 5.575, 4.928 Å; angles 90.00, 90.00, 120.00 degrees
Sites, in units of the cell vectors:
Hf 0.333 0.667 0.250
Hf 0.667 0.333 0.750
P 0.191 0.382 0.750
P 0.191 0.809 0.750
P 0.382 0.191 0.250
P 0.618 0.809 0.750
P 0.809 0.191 0.250
P 0.809 0.618 0.250

***

9.
Theoretical X-ray powder pattern
Compound: Hf2P
Radiation: Cu Kα, 1.54184 Å
Structure: DFT lattice parameters and positions (PBE)
Peak positions follow from Bragg's law for the DFT cell and can differ from measured ones.

Main lines, sorted by position (2θ from 10° to 80°):
| 2θ/deg | Rel. int. |
| --- | --- |
| 31.18 | 42 |
| 33.16 | 87 |
| 35.27 | 60 |
| 35.68 | 27 |
| 36.97 | 96 |
| 37.54 | 100 |
| 37.78 | 91 |
| 38.99 | 54 |
| 40.41 | 26 |
| 50.89 | 46 |
| 61.53 | 39 |
| 64.54 | 38 |

Structural model:
Cell lengths 12.315, 15.098, 3.589 Å; angles 90.00, 90.00, 90.00 degrees
Sites, in units of the cell vectors:
Hf 0.025 0.106 0.000
Hf 0.088 0.576 0.000
Hf 0.096 0.747 0.500
Hf 0.117 0.415 0.500
Hf 0.161 0.978 0.500
Hf 0.188 0.209 0.500
Hf 0.312 0.709 0.000
Hf 0.339 0.478 0.000
Hf 0.383 0.915 0.000
Hf 0.404 0.247 0.000
Hf 0.412 0.076 0.500
Hf 0.475 0.606 0.500
Hf 0.525 0.394 0.500
Hf 0.588 0.924 0.500
Hf 0.596 0.753 0.000
Hf 0.617 0.085 0.000
Hf 0.661 0.522 0.000
Hf 0.688 0.291 0.000
Hf 0.812 0.791 0.500
Hf 0.839 0.022 0.500
Hf 0.883 0.585 0.500
Hf 0.904 0.253 0.500
Hf 0.912 0.424 0.000
Hf 0.975 0.894 0.000
P 0.057 0.288 0.000
P 0.187 0.851 0.000
P 0.244 0.591 0.500
P 0.256 0.091 0.000
P 0.313 0.351 0.500
P 0.443 0.788 0.500
P 0.557 0.212 0.500
P 0.687 0.649 0.500
P 0.744 0.909 0.000
P 0.756 0.409 0.500
P 0.813 0.149 0.000
P 0.943 0.712 0.000

***

10.
Theoretical X-ray powder pattern
Compound: Hf7P4
Radiation: Cu Kα, 1.54184 Å
Structure: DFT lattice parameters and positions (PBE)
Peak positions follow from Bragg's law for the DFT cell and can differ from measured ones.

Main lines, sorted by position (2θ from 10° to 80°):
| 2θ/deg | Rel. int. |
| --- | --- |
| 32.36 | 41 |
| 33.83 | 55 |
| 35.27 | 74 |
| 37.37 | 48 |
| 37.97 | 57 |
| 38.66 | 100 |
| 39.02 | 50 |
| 41.12 | 20 |
| 51.73 | 37 |
| 59.27 | 23 |
| 61.12 | 21 |
| 65.94 | 23 |

Structural model:
Cell lengths 8.069, 8.069, 14.699 Å; angles 104.18, 104.18, 25.30 degrees
Sites, in units of the cell vectors:
Hf 0.000 0.000 0.000
Hf 0.004 0.004 0.669
Hf 0.176 0.176 0.541
Hf 0.197 0.197 0.312
Hf 0.205 0.205 0.797
Hf 0.339 0.339 0.029
Hf 0.431 0.431 0.831
Hf 0.500 0.500 0.500
Hf 0.569 0.569 0.169
Hf 0.661 0.661 0.971
Hf 0.795 0.795 0.203
Hf 0.803 0.803 0.688
Hf 0.824 0.824 0.459
Hf 0.996 0.996 0.331
P 0.063 0.063 0.853
P 0.177 0.177 0.112
P 0.370 0.370 0.339
P 0.376 0.376 0.600
P 0.624 0.624 0.400
P 0.630 0.630 0.661
P 0.823 0.823 0.888
P 0.937 0.937 0.147